[1]
The following is a simulated X-ray powder pattern of Nd3Ga2Rh5. It was derived from a cell relaxed with GGA-PBE, using Cu Kα X-rays.
Lines closer than 0.1° are merged.

Peak list (10 most intense, 5 to 70 degrees two-theta, in order of rising 2θ)
2theta  Rel. int.
31.3  28
34.8  29
36.2  48
37.0  100
39.3  25
40.2  34
49.8  22
59.8  12
63.0  19
63.5  13

Cell and atoms:
Unit cell a=10.241 b=10.241 c=3.665 alpha=90.00 beta=90.00 gamma=90.00
Atoms (fractional coordinates):
Nd (0.000, 0.000, 0.000)
Nd (0.174, 0.326, 0.000)
Nd (0.326, 0.826, 0.000)
Nd (0.500, 0.500, 0.000)
Nd (0.674, 0.174, 0.000)
Nd (0.826, 0.674, 0.000)
Ga (0.121, 0.621, 0.000)
Ga (0.379, 0.121, 0.000)
Ga (0.621, 0.879, 0.000)
Ga (0.879, 0.379, 0.000)
Rh (0.000, 0.500, 0.500)
Rh (0.070, 0.782, 0.500)
Rh (0.218, 0.070, 0.500)
Rh (0.282, 0.570, 0.500)
Rh (0.430, 0.282, 0.500)
Rh (0.500, 0.000, 0.500)
Rh (0.570, 0.718, 0.500)
Rh (0.718, 0.430, 0.500)
Rh (0.782, 0.930, 0.500)
Rh (0.930, 0.218, 0.500)



[2]
The following is a simulated X-ray powder pattern of K6Na3GaSb4. It was derived from a cell relaxed with GGA-PBE, using Cu Kα X-rays.
Lines closer than 0.1° are merged.

Peak list (10 most intense, 5 to 70 degrees two-theta, in order of rising 2θ)
2theta  Rel. int.
13.0  22
19.6  43
19.9  41
26.2  30
31.3  21
31.5  100
34.0  22
34.9  38
39.7  20
49.5  24

Cell and atoms:
Unit cell a=10.288 b=10.288 c=10.548 alpha=90.00 beta=90.00 gamma=120.00
Atoms (fractional coordinates):
K (0.207, 0.414, 0.041)
K (0.207, 0.414, 0.459)
K (0.207, 0.793, 0.041)
K (0.207, 0.793, 0.459)
K (0.414, 0.207, 0.541)
K (0.414, 0.207, 0.959)
K (0.586, 0.793, 0.041)
K (0.586, 0.793, 0.459)
K (0.793, 0.207, 0.541)
K (0.793, 0.207, 0.959)
K (0.793, 0.586, 0.541)
K (0.793, 0.586, 0.959)
Na (0.116, 0.231, 0.750)
Na (0.116, 0.884, 0.750)
Na (0.231, 0.116, 0.250)
Na (0.769, 0.884, 0.750)
Na (0.884, 0.116, 0.250)
Na (0.884, 0.769, 0.250)
Ga (0.333, 0.667, 0.750)
Ga (0.667, 0.333, 0.250)
Sb (0.000, 0.000, 0.000)
Sb (0.000, 0.000, 0.500)
Sb (0.037, 0.518, 0.750)
Sb (0.482, 0.518, 0.750)
Sb (0.482, 0.963, 0.750)
Sb (0.518, 0.037, 0.250)
Sb (0.518, 0.482, 0.250)
Sb (0.963, 0.482, 0.250)



[3]
The following is a simulated X-ray powder pattern of Mg4InHg2. It was derived from a cell relaxed with GGA-PBE, using Cu Kα X-rays.
Lines closer than 0.1° are merged.

Peak list (10 most intense, 5 to 70 degrees two-theta, in order of rising 2θ)
2theta  Rel. int.
21.4  8
22.4  49
25.9  56
36.9  100
43.6  27
45.6  13
53.2  17
60.1  23
66.4  8
66.5  26

Cell and atoms:
Unit cell a=8.451 b=8.451 c=8.451 alpha=33.47 beta=33.47 gamma=33.47
Atoms (fractional coordinates):
Mg (0.117, 0.117, 0.117)
Mg (0.371, 0.371, 0.371)
Mg (0.629, 0.629, 0.629)
Mg (0.883, 0.883, 0.883)
In (0.500, 0.500, 0.500)
Hg (0.253, 0.253, 0.253)
Hg (0.747, 0.747, 0.747)



[4]
The following is a simulated X-ray powder pattern of ScFe2Ir. It was derived from a cell relaxed with GGA-PBE, using Cu Kα X-rays.
Lines closer than 0.1° are merged.

Peak list (10 most intense, 5 to 70 degrees two-theta, in order of rising 2θ)
2theta  Rel. int.
20.6  16
20.8  24
28.5  11
29.5  21
35.4  13
41.4  100
41.9  24
42.4  23
58.9  9
61.1  15

Cell and atoms:
Unit cell a=3.137 b=4.263 c=4.314 alpha=90.00 beta=90.00 gamma=90.00
Atoms (fractional coordinates):
Sc (0.000, 0.000, 0.000)
Fe (0.000, 0.500, 0.500)
Fe (0.500, 0.000, 0.500)
Ir (0.500, 0.500, 0.000)



[5]
The following is a simulated X-ray powder pattern of ThScZnPb. It was derived from a cell relaxed with GGA-PBE, using Cu Kα X-rays.
Lines closer than 0.1° are merged.

Peak list (7 most intense, 5 to 70 degrees two-theta, in order of rising 2θ)
2theta  Rel. int.
20.8  37
34.3  100
40.5  22
49.3  18
54.1  10
61.4  37
65.6  8

Cell and atoms:
Unit cell a=5.228 b=5.228 c=5.228 alpha=60.00 beta=60.00 gamma=60.00
Atoms (fractional coordinates):
Th (0.000, 0.000, 0.000)
Sc (0.500, 0.500, 0.500)
Zn (0.750, 0.750, 0.750)
Pb (0.250, 0.250, 0.250)



[6]
The following is a simulated X-ray powder pattern of AcNb6Se8. It was derived from a cell relaxed with GGA-PBE, using Cu Kα X-rays.
Lines closer than 0.1° are merged.

Peak list (10 most intense, 5 to 70 degrees two-theta, in order of rising 2θ)
2theta  Rel. int.
22.5  40
28.0  65
29.3  60
31.8  47
32.4  67
36.8  50
39.8  72
40.3  73
43.4  100
56.3  39

Cell and atoms:
Unit cell a=6.978 b=6.978 c=6.978 alpha=86.62 beta=86.62 gamma=86.62
Atoms (fractional coordinates):
Ac (0.000, 0.000, 0.000)
Nb (0.214, 0.555, 0.414)
Nb (0.414, 0.214, 0.555)
Nb (0.445, 0.586, 0.786)
Nb (0.555, 0.414, 0.214)
Nb (0.586, 0.786, 0.445)
Nb (0.786, 0.445, 0.586)
Se (0.124, 0.395, 0.761)
Se (0.238, 0.238, 0.238)
Se (0.239, 0.876, 0.605)
Se (0.395, 0.761, 0.124)
Se (0.605, 0.239, 0.876)
Se (0.761, 0.124, 0.395)
Se (0.762, 0.762, 0.762)
Se (0.876, 0.605, 0.239)